No. 1
For La2Ho12Sc, a GGA-PBE-relaxed structure gives the calculated powder XRD pattern in this record (CuKα).
Intensities are scaled so that the largest is 100.

Peak list (6 most intense, 10° ≤ 2θ ≤ 90°, most intense first)
Position (°2θ)	I_rel
30.8	100
33.3	99
31.8	84
37.2	55
30.0	31
43.7	22

Structural model:
Unit cell a=3.5272 b=5.6299 c=24.5591 alpha=90.00 beta=90.00 gamma=90.00
Space group Pmmm (No. 47)
Unique sites:
La  0.0000  0.0000  0.2344 (multiplicity 2)
Ho  0.0000  0.5000  0.0625 (multiplicity 2)
Ho  0.0000  0.5000  0.4270 (multiplicity 2)
Ho  0.5000  0.0000  0.0853 (multiplicity 2)
Ho  0.5000  0.0000  0.3802 (multiplicity 2)
Ho  0.5000  0.5000  0.1739 (multiplicity 2)
Ho  0.5000  0.5000  0.3054 (multiplicity 2)
Sc  0.0000  0.0000  0.5000 (multiplicity 1)



No. 2
For HgIr, a GGA-PBE-relaxed structure gives the calculated powder XRD pattern in this record (CuKα).
Intensities are scaled so that the largest is 100.

Peak list (6 most intense, 10° ≤ 2θ ≤ 90°, most intense first)
Position (°2θ)	I_rel
32.0	100
41.1	96
54.6	68
39.0	66
32.6	53
42.6	51

Structural model:
Unit cell a=7.4117 b=8.1926 c=4.2493 alpha=90.00 beta=90.00 gamma=90.00
Space group Cmmm (No. 65)
Unique sites:
Hg  0.0000  0.0000  0.0000 (multiplicity 2)
Hg  0.2500  0.2500  0.5000 (multiplicity 4)
Ir  0.0000  0.3303  0.0000 (multiplicity 4)
Ir  0.0000  0.5000  0.5000 (multiplicity 2)



No. 3
For NaNbCd, a GGA-PBE-relaxed structure gives the calculated powder XRD pattern in this record (CuKα).
Intensities are scaled so that the largest is 100.

Peak list (6 most intense, 10° ≤ 2θ ≤ 90°, most intense first)
Position (°2θ)	I_rel
34.4	100
36.8	55
14.8	33
64.7	29
39.9	23
25.8	21

Structural model:
Unit cell a=3.4540 b=3.4540 c=11.9356 alpha=90.00 beta=90.00 gamma=90.00
Space group P4mm (No. 99)
Unique sites:
Na  0.0000  0.0000  0.0000 (multiplicity 1)
Na  0.0000  0.0000  0.3674 (multiplicity 1)
Nb  0.0000  0.0000  0.6637 (multiplicity 1)
Nb  0.5000  0.5000  0.5629 (multiplicity 1)
Cd  0.5000  0.5000  0.1875 (multiplicity 1)
Cd  0.5000  0.5000  0.8175 (multiplicity 1)



No. 4
For Mg2Sn2BRh4, a GGA-PBE-relaxed structure gives the calculated powder XRD pattern in this record (CuKα).
Intensities are scaled so that the largest is 100.

Peak list (6 most intense, 10° ≤ 2θ ≤ 90°, most intense first)
Position (°2θ)	I_rel
37.9	100
42.9	37
75.3	26
64.8	20
31.1	15
21.1	14

Structural model:
Unit cell a=5.9627 b=5.9627 c=7.8694 alpha=90.00 beta=90.00 gamma=90.00
Space group I4/mmm (No. 139)
Unique sites:
Mg  0.0000  0.0000  0.2065 (multiplicity 4)
Sn  0.0000  0.5000  0.2500 (multiplicity 4)
B  0.0000  0.0000  0.5000 (multiplicity 2)
Rh  0.2422  0.2422  0.5000 (multiplicity 8)



No. 5
For Sm2Dy5Er12, a GGA-PBE-relaxed structure gives the calculated powder XRD pattern in this record (CuKα).
Intensities are scaled so that the largest is 100.

Peak list (6 most intense, 10° ≤ 2θ ≤ 90°, most intense first)
Position (°2θ)	I_rel
31.1	100
36.0	51
51.8	24
61.7	21
51.9	12
61.6	11

Structural model:
Unit cell a=6.1083 b=9.3384 c=10.5812 alpha=101.03 beta=95.59 gamma=90.10
Space group P-1 (No. 2)
Unique sites:
Sm  0.0793  0.3155  0.4735 (multiplicity 2)
Dy  0.2375  0.9474  0.4207 (multiplicity 2)
Dy  0.3419  0.3682  0.0520 (multiplicity 2)
Dy  0.5000  0.0000  0.0000 (multiplicity 1)
Er  0.0262  0.1050  0.1568 (multiplicity 2)
Er  0.1316  0.5260  0.7908 (multiplicity 2)
Er  0.1843  0.7369  0.1047 (multiplicity 2)
Er  0.2895  0.1577  0.7379 (multiplicity 2)
Er  0.3953  0.5792  0.3674 (multiplicity 2)
Er  0.4472  0.7899  0.6852 (multiplicity 2)



No. 6
For Th5PdPt4, a GGA-PBE-relaxed structure gives the calculated powder XRD pattern in this record (CuKα).
Intensities are scaled so that the largest is 100.

Peak list (6 most intense, 10° ≤ 2θ ≤ 90°, most intense first)
Position (°2θ)	I_rel
30.1	100
43.1	77
71.0	36
53.4	28
79.0	27
62.5	13

Structural model:
Unit cell a=9.3900 b=9.3900 c=5.9425 alpha=90.00 beta=90.00 gamma=90.00
Space group I4/m (No. 87)
Unique sites:
Th  0.0000  0.0000  0.0000 (multiplicity 2)
Th  0.1004  0.3027  0.5000 (multiplicity 8)
Pd  0.0000  0.0000  0.5000 (multiplicity 2)
Pt  0.1009  0.2991  0.0000 (multiplicity 8)